No. 1
Calculated X-ray diffraction stick pattern
Compound: LaMgTiFeO6
Radiation: λ = 1.5418 Å (Cu Kα)
Structure: a DFT-relaxed cell (PBE+U, the Materials Project)
Peak positions follow from Bragg's law for the DFT cell and can differ from measured ones.

Atomic structure:
```
20
Lattice="5.3717 0.0000 0.0000 0.0000 5.5326 0.0000 -5.3657 0.0000 7.7172" Properties=species:S:1:pos:R:3 pbc="T T T"
La 0.0000 1.1847 0.0000
La -2.6828 4.3479 3.8586
Mg 0.1833 1.6642 3.8461
Mg -2.4995 3.8684 7.7047
Ti 2.7363 1.4152 1.9456
Ti 0.0535 4.1174 5.8042
Fe -2.6364 1.3714 5.7816
Fe 0.0464 4.1612 1.9230
O -1.9338 1.2683 3.8269
O -4.6167 4.2643 7.6855
O 2.2952 1.6207 0.0417
O -0.3876 3.9119 3.9003
O 1.0957 0.3119 2.3816
O -1.5871 5.2207 6.2402
O -1.1649 2.6587 6.2363
O 1.5179 2.8739 2.3777
O 1.0465 0.2696 5.3329
O 3.7293 5.2630 1.4742
O 4.1790 2.6264 1.5340
O 1.4962 2.9063 5.3926
```

Most intense lines, 10° ≤ 2θ ≤ 90°, most intense first:
| d [Å] | Rel. int. | hkl |
| --- | --- | --- |
| 2.727 | 100 | 1 1 -3 |
| 1.928 | 44 | 0 0 4 |
| 4.496 | 35 | 0 1 1 |
| 4.409 | 34 | 1 0 -2 |
| 1.558 | 24 | 3 1 -5 |
| 2.766 | 23 | 0 2 0 |
| 2.686 | 21 | 2 0 -2 |
| 2.306 | 19 | 2 1 -1 |
| 1.589 | 16 | 1 3 -3 |
| 2.343 | 14 | 1 2 0 |

***

No. 2
Calculated X-ray diffraction stick pattern
Compound: LaMgFeWO6
Radiation: λ = 1.5418 Å (Cu Kα)
Structure: a DFT-relaxed cell (PBE+U, the Materials Project)
Peak positions follow from Bragg's law for the DFT cell and can differ from measured ones.

Atomic structure:
```
20
Lattice="5.4574 0.0000 0.0000 0.0000 5.5787 0.0000 -5.3945 0.0000 8.1073" Properties=species:S:1:pos:R:3 pbc="T T T"
La 0.0000 1.1158 0.0000
La -2.6973 4.4629 4.0536
Mg 0.1812 1.6878 4.1263
Mg 2.8785 3.8909 0.0726
Fe 2.7656 1.3705 2.0299
Fe 0.0683 4.2083 6.0835
W -2.6410 1.4482 6.1018
W 0.0562 4.1306 2.0481
O -1.8568 1.1639 4.2183
O 0.8404 4.4148 0.1647
O -3.1825 1.8173 8.0441
O -0.4852 3.7615 3.9905
O 0.9234 0.2236 2.6237
O -1.7738 5.3551 6.6773
O -1.1001 2.6245 6.6183
O 1.5971 2.9542 2.5647
O 1.0952 0.3597 5.5776
O 3.7925 5.2190 1.5240
O 4.4040 2.6453 1.5059
O 1.7067 2.9334 5.5595
```

Most intense lines, 10° ≤ 2θ ≤ 90°, most intense first:
| d [Å] | Rel. int. | hkl |
| --- | --- | --- |
| 2.819 | 100 | 1 1 1 |
| 2.803 | 97 | 1 1 -3 |
| 4.596 | 67 | 0 1 1 |
| 2.729 | 42 | 2 0 -2 |
| 1.951 | 41 | 2 2 -2 |
| 2.789 | 40 | 0 2 0 |
| 4.511 | 34 | 1 0 -2 |
| 4.543 | 27 | 1 0 0 |
| 2.027 | 25 | 0 0 4 |
| 1.595 | 23 | 3 1 -1 |

***

No. 3
Calculated X-ray diffraction stick pattern
Compound: La7SmMn4Fe4O24
Radiation: λ = 1.5418 Å (Cu Kα)
Structure: a DFT-relaxed cell (PBE+U, the Materials Project)
Peak positions follow from Bragg's law for the DFT cell and can differ from measured ones.

Atomic structure:
```
40
Lattice="7.9160 0.0000 0.0000 0.0000 7.9160 0.0000 0.0000 0.0000 7.8511" Properties=species:S:1:pos:R:3 pbc="T T T"
La 0.0000 0.0000 0.0001
La 0.0000 0.0000 3.8978
La 0.0000 3.9580 0.0000
La 0.0000 3.9580 3.8980
La 3.9580 0.0000 0.0000
La 3.9580 0.0000 3.8980
La 3.9580 3.9580 0.0005
Sm 3.9580 3.9580 3.8976
Mn 1.9808 1.9808 1.9507
Mn 1.9808 5.9352 1.9507
Mn 5.9352 1.9808 1.9507
Mn 5.9352 5.9352 1.9507
Fe 1.9810 1.9810 5.8726
Fe 1.9810 5.9350 5.8726
Fe 5.9350 1.9810 5.8726
Fe 5.9350 5.9350 5.8726
O 0.0000 1.9794 1.9494
O 0.0000 1.9793 5.8743
O 0.0000 5.9366 1.9494
O 0.0000 5.9367 5.8743
O 1.9794 0.0000 1.9494
O 1.9793 0.0000 5.8743
O 1.9793 1.9793 7.8356
O 1.9793 5.9367 7.8356
O 1.9873 1.9873 3.9133
O 1.9879 3.9580 1.9579
O 1.9872 3.9580 5.8666
O 1.9873 5.9286 3.9133
O 3.9580 1.9879 1.9579
O 3.9580 1.9872 5.8666
O 3.9580 5.9281 1.9579
O 3.9580 5.9288 5.8666
O 5.9286 1.9873 3.9133
O 5.9281 3.9580 1.9579
O 5.9288 3.9580 5.8666
O 5.9286 5.9286 3.9133
O 5.9366 0.0000 1.9494
O 5.9367 0.0000 5.8743
O 5.9367 1.9793 7.8356
O 5.9367 5.9367 7.8356
```

Most intense lines, 10° ≤ 2θ ≤ 90°, most intense first:
| d [Å] | Rel. int. | hkl |
| --- | --- | --- |
| 2.787 | 100 | 2 0 2 |
| 2.799 | 51 | 2 2 0 |
| 1.614 | 39 | 4 2 2 |
| 1.979 | 33 | 4 0 0 |
| 2.279 | 29 | 2 2 2 |
| 1.394 | 19 | 4 0 4 |
| 1.607 | 19 | 2 2 4 |
| 1.251 | 16 | 6 2 0 |
| 1.963 | 16 | 0 0 4 |
| 3.958 | 14 | 2 0 0 |